# KPaMn4S8
Calculated powder diffractogram, a wavelength of 1.5418 Å. Input: the GGA-PBE geometry in Alexandria.
Kinematic intensities with the Lorentz-polarization factor, no thermal factor.

Peak list (8 most intense, 2θ = 5–70°, by intensity)
(1 0 1), 14.3°, I 100.0; (1 1 3), 27.4°, I 87.0; (0 2 4), 33.1°, I 67.5; (0 1 5), 26.8°, I 42.5; (2 2 0), 48.2°, I 40.4; (1 1 0), 23.6°, I 39.1; (2 0 8), 46.7°, I 36.6; (1 1 6), 36.7°, I 31.5

Cell: 7.5485 7.5485 19.3515 Å, 90.00 90.00 120.00°
Space group R3m (No. 160, hexagonal axes)
Asymmetric unit:
1 K 0.0000 0.0000 0.0000 [3 per cell]
2 Pa 0.0000 0.0000 0.6441 [3 per cell]
3 Mn 0.0000 0.0000 0.2767 [3 per cell]
4 Mn 0.1694 0.3389 0.4727 [9 per cell]
5 S 0.0000 0.0000 0.4083 [3 per cell]
6 S 0.0000 0.0000 0.8606 [3 per cell]
7 S 0.0363 0.5182 0.4032 [9 per cell]
8 S 0.1710 0.3420 0.2233 [9 per cell]



# KPaMnSe4
Calculated powder diffractogram, a wavelength of 1.5418 Å. Input: the GGA-PBE geometry in Alexandria.
Kinematic intensities with the Lorentz-polarization factor, no thermal factor.

Peak list (8 most intense, 2θ = 5–70°, by intensity)
(0 0 1), 10.1°, I 100.0; (1 1 2), 31.2°, I 31.8; (2 1 -2), 31.6°, I 26.5; (1 2 0), 29.8°, I 17.0; (0 2 2), 33.4°, I 16.6; (0 2 0), 26.2°, I 16.6; (1 1 0), 19.1°, I 16.6; (1 1 -1), 19.3°, I 16.1

Cell: 6.7752 6.8011 9.2676 Å, 90.00 109.30 90.00°
Space group P2_1/m (No. 11)
Asymmetric unit:
1 K 0.2459 0.2500 0.4489 [2 per cell]
2 Pa 0.2703 0.2500 0.9474 [2 per cell]
3 Mn 0.2698 0.7500 0.1667 [2 per cell]
4 Se 0.0347 0.7500 0.9069 [2 per cell]
5 Se 0.0585 0.7500 0.3317 [2 per cell]
6 Se 0.4713 0.5131 0.7964 [4 per cell]



# K4MnPd2
Calculated powder diffractogram, a wavelength of 1.5418 Å. Input: the GGA-PBE geometry in Alexandria.
Kinematic intensities with the Lorentz-polarization factor, no thermal factor.

Peak list (8 most intense, 2θ = 5–70°, by intensity)
(2 0 0), 28.1°, I 100.0; (1 1 0), 19.8°, I 93.2; (1 0 5), 31.9°, I 68.5; (0 0 2), 11.3°, I 63.1; (1 0 1), 15.1°, I 62.9; (2 1 5), 43.0°, I 57.8; (2 2 0), 40.2°, I 36.3; (1 1 6), 40.0°, I 32.4

Cell: 6.3501 6.3501 15.6508 Å, 90.00 90.00 90.00°
Space group I4/mmm (No. 139)
Asymmetric unit:
1 K 0.0000 0.0000 0.2246 [4 per cell]
2 K 0.0000 0.5000 0.0000 [4 per cell]
3 Mn 0.0000 0.0000 0.0000 [2 per cell]
4 Pd 0.0000 0.0000 0.4164 [4 per cell]



# K3Pu3MnSe8
Calculated powder diffractogram, a wavelength of 1.5418 Å. Input: the GGA-PBE geometry in Alexandria.
Kinematic intensities with the Lorentz-polarization factor, no thermal factor.

Peak list (8 most intense, 2θ = 5–70°, by intensity)
(0 0 1), 11.4°, I 100.0; (2 2 -2), 29.2°, I 64.8; (4 0 0), 29.0°, I 35.9; (6 2 -2), 43.4°, I 24.3; (2 2 2), 39.9°, I 22.6; (2 2 -3), 36.8°, I 21.3; (6 2 -3), 45.0°, I 14.6; (2 2 -1), 25.1°, I 12.7

Cell: 14.5029 8.2519 9.1534 Å, 90.00 121.94 90.00°
Space group C2/m (No. 12)
Asymmetric unit:
1 K 0.0000 0.0000 0.0000 [2 per cell]
2 K 0.2500 0.2500 0.0000 [4 per cell]
3 Pu 0.0000 0.5000 0.5000 [2 per cell]
4 Pu 0.2500 0.2500 0.5000 [4 per cell]
5 Mn 0.0000 0.0000 0.5000 [2 per cell]
6 Se 0.0141 0.2257 0.3147 [8 per cell]
7 Se 0.2351 0.0000 0.6989 [4 per cell]
8 Se 0.2362 0.5000 0.7077 [4 per cell]



# K3PuMn2Se6
Calculated powder diffractogram, a wavelength of 1.5418 Å. Input: the GGA-PBE geometry in Alexandria.
Kinematic intensities with the Lorentz-polarization factor, no thermal factor.

Peak list (8 most intense, 2θ = 5–70°, by intensity)
(2 -1 2), 34.7°, I 100.0; (0 0 1), 11.4°, I 73.7; (2 -1 1), 28.2°, I 56.9; (3 0 0), 45.3°, I 40.1; (1 1 4), 54.2°, I 28.7; (1 0 1), 18.7°, I 23.9; (1 1 3), 43.7°, I 23.8; (2 2 2), 58.3°, I 21.6

Cell: 6.9310 6.9310 7.7489 Å, 90.00 90.00 120.00°
Space group P-31m (No. 162)
Asymmetric unit:
1 K 0.0000 0.0000 0.0000 [1 per cell]
2 K 0.3333 0.6667 0.0000 [2 per cell]
3 Pu 0.0000 0.0000 0.5000 [1 per cell]
4 Mn 0.3333 0.6667 0.5000 [2 per cell]
5 Se 0.0000 0.3535 0.6896 [6 per cell]



# KRbMnS3
Calculated powder diffractogram, a wavelength of 1.5418 Å. Input: the GGA-PBE geometry in Alexandria.
Kinematic intensities with the Lorentz-polarization factor, no thermal factor.

Peak list (8 most intense, 2θ = 5–70°, by intensity)
(1 3 1), 27.9°, I 100.0; (2 0 -2), 33.6°, I 56.3; (1 1 0), 14.0°, I 51.4; (2 0 0), 25.5°, I 45.6; (1 3 -1), 24.6°, I 39.5; (2 0 2), 43.0°, I 35.8; (1 3 -3), 46.1°, I 29.4; (0 0 2), 28.4°, I 28.4

Cell: 7.1979 14.7274 6.4634 Å, 90.00 103.66 90.00°
Space group C2/c (No. 15)
Asymmetric unit:
1 K 0.0000 0.0949 0.2500 [4 per cell]
2 Rb 0.0000 0.2613 0.7500 [4 per cell]
3 Mn 0.0000 0.4541 0.2500 [4 per cell]
4 S 0.0000 0.3033 0.2500 [4 per cell]
5 S 0.1958 0.4587 0.0058 [8 per cell]



# KMnRh2
Calculated powder diffractogram, a wavelength of 1.5418 Å. Input: the GGA-PBE geometry in Alexandria.
Kinematic intensities with the Lorentz-polarization factor, no thermal factor.

Peak list (8 most intense, 2θ = 5–70°, by intensity)
(1 0 2), 37.5°, I 100.0; (0 0 1), 10.4°, I 98.1; (1 1 0), 44.0°, I 52.4; (1 0 -3), 44.7°, I 37.9; (0 0 3), 31.7°, I 24.2; (1 0 0), 30.7°, I 19.8; (1 1 -3), 55.2°, I 19.3; (2 0 0), 64.0°, I 16.3

Cell: 2.9108 2.9113 8.4662 Å, 90.00 90.14 90.00°
Space group P2/m (No. 10)
Asymmetric unit:
1 K 0.0000 0.0000 0.0000 [1 per cell]
2 Mn 0.0000 0.0000 0.5000 [1 per cell]
3 Rh 0.4987 0.5000 0.3167 [2 per cell]



# KMnRu2
Calculated powder diffractogram, a wavelength of 1.5418 Å. Input: the GGA-PBE geometry in Alexandria.
Kinematic intensities with the Lorentz-polarization factor, no thermal factor.

Peak list (8 most intense, 2θ = 5–70°, by intensity)
(0 0 1), 11.2°, I 100.0; (1 1 0), 40.1°, I 32.2; (0 1 2), 33.1°, I 25.4; (1 1 1), 41.7°, I 16.1; (1 0 2), 39.2°, I 15.7; (0 1 3), 42.1°, I 14.6; (1 0 3), 47.2°, I 10.4; (0 1 4), 52.5°, I 9.7

Cell: 2.8272 3.7139 7.9034 Å, 90.00 90.00 90.00°
Space group Pmm2 (No. 25)
Asymmetric unit:
1 K 0.0000 0.0000 0.0000 [1 per cell]
2 Mn 0.5000 0.5000 0.3548 [1 per cell]
3 Ru 0.0000 0.0000 0.5306 [1 per cell]
4 Ru 0.5000 0.5000 0.6693 [1 per cell]